The following is a theoretical PXRD pattern of Ac6SiSe5. It was derived from a PBE-relaxed structure, using Cu Ka.

Atomic structure:
Unit cell a=7.780 b=13.491 c=7.799 alpha=90.00 beta=109.39 gamma=90.00
Space group C2/m (No. 12)
Asymmetric unit:
Ac1 0.243 0.000 0.256 (multiplicity 4)
Ac2 0.243 0.162 0.744 (multiplicity 8)
Si1 0.000 0.000 0.500 (multiplicity 2)
Se1 0.000 0.168 0.000 (multiplicity 4)
Se2 0.000 0.333 0.500 (multiplicity 4)
Se3 0.000 0.500 0.000 (multiplicity 2)

Largest 10 diffraction maxima, in order of rising 2θ, 10° ≤ 2θ ≤ 90°:
hkl 0 0 2, 2θ 24.2, d 3.679, I = 12.4
hkl 2 0 0, 2θ 24.2, d 3.671, I = 36.2
hkl 1 3 1, 2θ 28.1, d 3.181, I = 100.0
hkl 2 0 2, 2θ 40.1, d 2.249, I = 77.2
hkl 3 3 1, 2θ 47.4, d 1.917, I = 19.0
hkl 4 0 0, 2θ 49.7, d 1.835, I = 20.8
hkl 2 6 2, 2θ 58.0, d 1.590, I = 13.1
hkl 3 3 3, 2θ 65.6, d 1.423, I = 24.1
hkl 4 6 0, 2θ 65.7, d 1.421, I = 12.0
hkl 5 3 1, 2θ 72.9, d 1.298, I = 17.7